The following is a theoretical PXRD pattern of Na5B8C2. It was derived from a DFT-relaxed cell (GGA-PBE, Alexandria), using Cu Ka.
Neutral-atom scattering factors, no anomalous dispersion.

Atomic structure:
Unit cell a=13.3040 b=13.3040 c=8.6590 alpha=90.00 beta=90.00 gamma=167.87
Fractional positions:
1 Na 0.0000 0.0000 0.0000
2 Na 0.0000 0.0000 0.5000
3 Na 0.1988 0.8012 0.5005
4 Na 0.1988 0.8012 0.9995
5 Na 0.4017 0.5983 0.0028
6 Na 0.4017 0.5983 0.4972
7 Na 0.5983 0.4017 0.5028
8 Na 0.5983 0.4017 0.9972
9 Na 0.8012 0.1988 0.0005
10 Na 0.8012 0.1988 0.4995
11 B 0.0589 0.9411 0.7500
12 B 0.1223 0.8777 0.2500
13 B 0.1256 0.8744 0.7500
14 B 0.2698 0.7302 0.2500
15 B 0.2732 0.7268 0.7500
16 B 0.3340 0.6660 0.2500
17 B 0.3362 0.6638 0.7500
18 B 0.4674 0.5326 0.7500
19 B 0.5326 0.4674 0.2500
20 B 0.6638 0.3362 0.2500
21 B 0.6660 0.3340 0.7500
22 B 0.7268 0.2732 0.2500
23 B 0.7302 0.2698 0.7500
24 B 0.8744 0.1256 0.2500
25 B 0.8777 0.1223 0.7500
26 B 0.9411 0.0589 0.2500
27 C 0.0633 0.9367 0.2500
28 C 0.4715 0.5285 0.2500
29 C 0.5285 0.4715 0.7500
30 C 0.9367 0.0633 0.7500

Top 10 peaks for 15° ≤ 2θ ≤ 90°, most intense first:
Position (°2θ), I/Imax
41.95, 100
39.93, 49
41.72, 38
62.12, 17
36.18, 17
77.65, 16
33.88, 14
76.32, 13
56.39, 10
80.48, 9